Diffraction record for S2I2O11. The X-ray powder pattern is computed, not measured: it uses a crystal structure in Alexandria, relaxed with PBE and λ = 1.5418 Å (Cu Kα).
Lines closer than 0.1° are merged.

Atomic structure:
a = 9.3844 Å, b = 10.6993 Å, c = 9.3842 Å
α = 90.00°, β = 94.60°, γ = 90.00°
Space group P2_1/c (No. 14)
One atom of each set of equivalent atoms:
S  0.1870  0.1674  0.2227 [4 per cell]
S  0.3043  0.0836  0.7227 [4 per cell]
I  0.1121  0.6511  0.8557 [4 per cell]
I  0.4142  0.7315  0.3546 [4 per cell]
O  0.0771  0.6416  0.6688 [4 per cell]
O  0.0777  0.2183  0.1128 [4 per cell]
O  0.1259  0.0990  0.3366 [4 per cell]
O  0.1788  0.0239  0.6547 [4 per cell]
O  0.2049  0.6857  0.3707 [4 per cell]
O  0.2511  0.2064  0.8112 [4 per cell]
O  0.3044  0.1111  0.1565 [4 per cell]
O  0.3247  0.6055  0.8706 [4 per cell]
O  0.3866  0.0163  0.8357 [4 per cell]
O  0.3943  0.1368  0.6119 [4 per cell]
O  0.4167  0.7233  0.1663 [4 per cell]

Largest 10 diffraction maxima, in order of falling intensity, 2θ = 10–90°:
2θ/deg  d/Å  I (rel.)
20.73  4.285  100
16.57  5.350  42
29.85  2.994  35
18.97  4.677  33
12.57  7.042  31
38.50  2.339  20
22.17  4.009  18
31.55  2.836  17
23.46  3.792  17
19.11  4.644  16

Diffraction record for SI2O6. The X-ray powder pattern is computed, not measured: it uses a crystal structure in Alexandria, relaxed with PBE and λ = 1.5418 Å (Cu Kα).
Lines closer than 0.1° are merged.

Atomic structure:
a = 15.3148 Å, b = 4.7663 Å, c = 10.5789 Å
α = 90.00°, β = 121.30°, γ = 90.00°
Space group C2/c (No. 15)
One atom of each set of equivalent atoms:
S  0.0000  0.1811  0.2500 [4 per cell]
I  0.1612  0.3151  0.7486 [8 per cell]
O  0.0201  0.3588  0.1510 [8 per cell]
O  0.0907  0.0023  0.3501 [8 per cell]
O  0.2170  0.4413  0.1529 [8 per cell]

Largest 10 diffraction maxima, in order of falling intensity, 2θ = 10–90°:
2θ/deg  d/Å  I (rel.)
19.64  4.519  100
25.58  3.482  77
32.93  2.720  39
31.98  2.799  37
48.70  1.870  19
27.19  3.280  18
39.86  2.262  17
60.60  1.528  11
47.30  1.922  11
41.40  2.181  10

Diffraction record for S4I2O15. The X-ray powder pattern is computed, not measured: it uses a crystal structure in Alexandria, relaxed with PBE and λ = 1.5418 Å (Cu Kα).
Lines closer than 0.1° are merged.

Atomic structure:
a = 5.7885 Å, b = 6.7353 Å, c = 9.3476 Å
α = 95.05°, β = 93.59°, γ = 107.46°
Space group P1 (No. 1)
One atom of each set of equivalent atoms:
S  0.0000  0.0000  0.0000 [1 per cell]
S  0.1706  0.4364  0.9319 [1 per cell]
S  0.3469  0.9665  0.5637 [1 per cell]
S  0.7402  0.4844  0.3534 [1 per cell]
I  0.4632  0.4550  0.6553 [1 per cell]
I  0.6893  0.0032  0.2734 [1 per cell]
O  0.0556  0.5353  0.8325 [1 per cell]
O  0.1083  0.9630  0.5989 [1 per cell]
O  0.2271  0.5102  0.0817 [1 per cell]
O  0.2390  0.9862  0.9866 [1 per cell]
O  0.3620  0.9676  0.4022 [1 per cell]
O  0.4011  0.3981  0.8719 [1 per cell]
O  0.4614  0.8229  0.6231 [1 per cell]
O  0.5076  0.4711  0.4266 [1 per cell]
O  0.5465  0.1901  0.6355 [1 per cell]
O  0.6501  0.2804  0.2333 [1 per cell]
O  0.7825  0.6559  0.2634 [1 per cell]
O  0.7824  0.8358  0.9489 [1 per cell]
O  0.9372  0.4706  0.4486 [1 per cell]
O  0.9681  0.1968  0.9175 [1 per cell]
O  0.9975  0.0777  0.1658 [1 per cell]

Largest 10 diffraction maxima, in order of falling intensity, 2θ = 10–90°:
2θ/deg  d/Å  I (rel.)
19.53  4.545  100
23.92  3.720  53
27.95  3.192  42
20.18  4.401  35
17.74  5.000  34
33.11  2.705  29
15.95  5.558  25
28.89  3.090  24
34.85  2.574  18
16.12  5.497  17